This entry pairs a crystal structure of SmYO4 with its computed XRD peak list. Radiation: λ = 1.5418 Å (Cu Kα). Structure: a crystal structure in Alexandria, relaxed with PBE.

Structure:
Cell lengths 6.719, 3.887, 6.347 Å; angles 90.00, 97.28, 90.00 degrees
Space group Cm (No. 8)
Symmetry-distinct sites (fractional):
1 Sm 0.000 0.000 0.000 (multiplicity 2)
2 Y 0.117 0.500 0.541 (multiplicity 2)
3 O 0.157 0.500 0.908 (multiplicity 2)
4 O 0.220 0.000 0.341 (multiplicity 2)
5 O 0.392 0.000 0.211 (multiplicity 2)
6 O 0.457 0.500 0.621 (multiplicity 2)

Peak list (12 most intense, 2θ from 10° to 90°, in order of rising 2θ)
d = 6.296 Å, 14.1°, rel. 15
d = 3.358 Å, 26.5°, rel. 19
d = 3.332 Å, 26.8°, rel. 33
d = 3.148 Å, 28.4°, rel. 43
d = 3.044 Å, 29.3°, rel. 100
d = 2.887 Å, 31.0°, rel. 31
d = 2.802 Å, 31.9°, rel. 25
d = 2.227 Å, 40.5°, rel. 17
d = 1.943 Å, 46.7°, rel. 21
d = 1.929 Å, 47.1°, rel. 26
d = 1.833 Å, 49.7°, rel. 28
d = 1.731 Å, 52.9°, rel. 25

This entry pairs a crystal structure of TlZn4Pt15 with its computed XRD peak list. Radiation: λ = 1.5418 Å (Cu Kα). Structure: a crystal structure in Alexandria, relaxed with PBE.

Structure:
Cell lengths 3.957, 3.957, 19.921 Å; angles 90.00, 90.00, 90.00 degrees
Space group P4/mmm (No. 123)
Symmetry-distinct sites (fractional):
1 Tl 0.000 0.000 0.000 (multiplicity 1)
2 Zn 0.000 0.000 0.206 (multiplicity 2)
3 Zn 0.000 0.000 0.402 (multiplicity 2)
4 Pt 0.000 0.500 0.110 (multiplicity 4)
5 Pt 0.000 0.500 0.304 (multiplicity 4)
6 Pt 0.000 0.500 0.500 (multiplicity 2)
7 Pt 0.500 0.500 0.000 (multiplicity 1)
8 Pt 0.500 0.500 0.207 (multiplicity 2)
9 Pt 0.500 0.500 0.402 (multiplicity 2)

Peak list (12 most intense, 2θ from 10° to 90°, in order of rising 2θ)
d = 3.984 Å, 22.3°, rel. 2
d = 3.957 Å, 22.5°, rel. 4
d = 2.807 Å, 31.9°, rel. 3
d = 2.290 Å, 39.4°, rel. 100
d = 1.992 Å, 45.5°, rel. 15
d = 1.978 Å, 45.9°, rel. 34
d = 1.771 Å, 51.6°, rel. 2
d = 1.404 Å, 66.6°, rel. 19
d = 1.399 Å, 66.9°, rel. 11
d = 1.200 Å, 80.0°, rel. 10
d = 1.194 Å, 80.4°, rel. 26
d = 1.145 Å, 84.7°, rel. 10

This entry pairs a crystal structure of MnAg2I4 with its computed XRD peak list. Radiation: λ = 1.5418 Å (Cu Kα). Structure: a crystal structure in Alexandria, relaxed with PBE.

Structure:
Cell lengths 6.594, 6.594, 6.668 Å; angles 90.00, 90.00, 90.00 degrees
Space group P-42m (No. 111)
Symmetry-distinct sites (fractional):
1 Mn 0.000 0.000 0.000 (multiplicity 1)
2 Ag 0.000 0.500 0.000 (multiplicity 2)
3 I 0.233 0.233 0.248 (multiplicity 4)

Peak list (12 most intense, 2θ from 10° to 90°, in order of rising 2θ)
d = 6.668 Å, 13.3°, rel. 28
d = 6.594 Å, 13.4°, rel. 8
d = 3.821 Å, 23.3°, rel. 100
d = 2.955 Å, 30.2°, rel. 14
d = 2.344 Å, 38.4°, rel. 58
d = 2.331 Å, 38.6°, rel. 28
d = 2.006 Å, 45.2°, rel. 17
d = 1.990 Å, 45.6°, rel. 30
d = 1.648 Å, 55.8°, rel. 9
d = 1.521 Å, 60.9°, rel. 12
d = 1.356 Å, 69.3°, rel. 9
d = 1.348 Å, 69.7°, rel. 17

This entry pairs a crystal structure of YSi2Se4 with its computed XRD peak list. Radiation: λ = 1.5418 Å (Cu Kα). Structure: a crystal structure in Alexandria, relaxed with PBE.

Structure:
Cell lengths 7.548, 7.548, 6.620 Å; angles 90.00, 90.00, 90.00 degrees
Space group I4/m (No. 87)
Symmetry-distinct sites (fractional):
1 Y 0.000 0.000 0.000 (multiplicity 2)
2 Si 0.000 0.500 0.250 (multiplicity 4)
3 Se 0.172 0.316 0.500 (multiplicity 8)

Peak list (12 most intense, 2θ from 10° to 90°, in order of rising 2θ)
d = 4.977 Å, 17.8°, rel. 18
d = 3.310 Å, 26.9°, rel. 32
d = 3.007 Å, 29.7°, rel. 100
d = 2.669 Å, 33.6°, rel. 21
d = 2.488 Å, 36.1°, rel. 13
d = 2.387 Å, 37.7°, rel. 12
d = 1.936 Å, 46.9°, rel. 36
d = 1.847 Å, 49.3°, rel. 24
d = 1.764 Å, 51.8°, rel. 27
d = 1.655 Å, 55.5°, rel. 7
d = 1.409 Å, 66.3°, rel. 13
d = 1.206 Å, 79.5°, rel. 14

This entry pairs a crystal structure of Tl3NiBr8 with its computed XRD peak list. Radiation: λ = 1.5418 Å (Cu Kα). Structure: a crystal structure in Alexandria, relaxed with PBE.

Structure:
Cell lengths 8.331, 8.331, 11.738 Å; angles 90.00, 90.00, 90.00 degrees
Space group I4/mmm (No. 139)
Symmetry-distinct sites (fractional):
1 Tl 0.000 0.000 0.000 (multiplicity 2)
2 Tl 0.000 0.500 0.250 (multiplicity 4)
3 Ni 0.000 0.000 0.500 (multiplicity 2)
4 Br 0.218 0.218 0.375 (multiplicity 16)

Peak list (12 most intense, 2θ from 10° to 90°, in order of rising 2θ)
d = 4.158 Å, 21.4°, rel. 74
d = 3.548 Å, 25.1°, rel. 17
d = 2.946 Å, 30.3°, rel. 53
d = 2.702 Å, 33.2°, rel. 9
d = 2.401 Å, 37.5°, rel. 100
d = 2.083 Å, 43.4°, rel. 17
d = 1.862 Å, 48.9°, rel. 10
d = 1.857 Å, 49.1°, rel. 8
d = 1.573 Å, 58.7°, rel. 35
d = 1.571 Å, 58.8°, rel. 10
d = 1.313 Å, 71.9°, rel. 9
d = 1.255 Å, 75.8°, rel. 9

This entry pairs a crystal structure of Zr2ZnHPb with its computed XRD peak list. Radiation: λ = 1.5418 Å (Cu Kα). Structure: a crystal structure in Alexandria, relaxed with PBE.

Structure:
Cell lengths 4.405, 4.405, 4.449 Å; angles 90.00, 90.00, 90.00 degrees
Space group P4/mmm (No. 123)
Symmetry-distinct sites (fractional):
1 Zr 0.000 0.500 0.000 (multiplicity 2)
2 Zn 0.000 0.000 0.500 (multiplicity 1)
3 H 0.000 0.000 0.000 (multiplicity 1)
4 Pb 0.500 0.500 0.500 (multiplicity 1)

Peak list (12 most intense, 2θ from 10° to 90°, in order of rising 2θ)
d = 4.405 Å, 20.2°, rel. 15
d = 3.130 Å, 28.5°, rel. 14
d = 2.552 Å, 35.2°, rel. 100
d = 2.225 Å, 40.6°, rel. 17
d = 2.203 Å, 41.0°, rel. 33
d = 1.971 Å, 46.0°, rel. 6
d = 1.801 Å, 50.7°, rel. 6
d = 1.565 Å, 59.0°, rel. 22
d = 1.558 Å, 59.3°, rel. 11
d = 1.339 Å, 70.3°, rel. 13
d = 1.329 Å, 70.9°, rel. 26
d = 1.276 Å, 74.3°, rel. 11

This entry pairs a crystal structure of Y2HoIO8 with its computed XRD peak list. Radiation: λ = 1.5418 Å (Cu Kα). Structure: a crystal structure in Alexandria, relaxed with PBE.

Structure:
Cell lengths 7.054, 7.178, 6.821 Å; angles 90.00, 90.00, 90.00 degrees
Space group Cmmm (No. 65)
Symmetry-distinct sites (fractional):
1 Y 0.000 0.000 0.248 (multiplicity 4)
2 Ho 0.000 0.500 0.000 (multiplicity 2)
3 I 0.000 0.500 0.500 (multiplicity 2)
4 O 0.000 0.321 0.292 (multiplicity 8)
5 O 0.193 0.000 0.000 (multiplicity 4)
6 O 0.231 0.000 0.500 (multiplicity 4)

Peak list (12 most intense, 2θ from 10° to 90°, in order of rising 2θ)
d = 5.031 Å, 17.6°, rel. 16
d = 3.589 Å, 24.8°, rel. 63
d = 3.527 Å, 25.2°, rel. 57
d = 2.823 Å, 31.7°, rel. 100
d = 2.516 Å, 35.7°, rel. 27
d = 1.887 Å, 48.2°, rel. 43
d = 1.869 Å, 48.7°, rel. 38
d = 1.764 Å, 51.8°, rel. 10
d = 1.583 Å, 58.3°, rel. 10
d = 1.540 Å, 60.1°, rel. 11
d = 1.505 Å, 61.6°, rel. 24
d = 1.411 Å, 66.2°, rel. 11

This entry pairs a crystal structure of Sr2Ge3Au2 with its computed XRD peak list. Radiation: λ = 1.5418 Å (Cu Kα). Structure: a crystal structure in Alexandria, relaxed with PBE.

Structure:
Cell lengths 4.670, 19.654, 7.222 Å; angles 90.00, 90.00, 90.00 degrees
Space group Cmcm (No. 63)
Symmetry-distinct sites (fractional):
1 Sr 0.000 0.060 0.250 (multiplicity 4)
2 Sr 0.000 0.160 0.750 (multiplicity 4)
3 Ge 0.000 0.227 0.250 (multiplicity 4)
4 Ge 0.000 0.443 0.077 (multiplicity 8)
5 Au 0.000 0.317 0.554 (multiplicity 8)

Peak list (12 most intense, 2θ from 10° to 90°, in order of rising 2θ)
d = 4.544 Å, 19.5°, rel. 34
d = 3.803 Å, 23.4°, rel. 41
d = 3.007 Å, 29.7°, rel. 33
d = 2.827 Å, 31.6°, rel. 97
d = 2.776 Å, 32.2°, rel. 100
d = 2.619 Å, 34.2°, rel. 73
d = 2.457 Å, 36.6°, rel. 50
d = 2.335 Å, 38.6°, rel. 82
d = 2.311 Å, 39.0°, rel. 41
d = 2.162 Å, 41.8°, rel. 68
d = 2.033 Å, 44.6°, rel. 33
d = 1.586 Å, 58.2°, rel. 51